Entry 1:
The following is a simulated powder diffraction line list of Nd4Br3NCl2. It was derived from a DFT-relaxed cell (GGA-PBE, OQMD), using CuKα.
Peak positions follow from Bragg's law for the DFT cell and can differ from measured ones.

Peak list (6 most intense, 2θ = 15–90°, sorted by position)
d = 2.911 Å, I 44.0
d = 2.826 Å, I 100.0
d = 2.605 Å, I 21.7
d = 2.588 Å, I 27.1
d = 2.037 Å, I 24.9
d = 2.018 Å, I 28.3

Crystal structure
```
Nd4Br3NCl2
1.0
9.006 -1.925 0.000
9.006 1.925 0.000
-2.034 0.000 8.069
Nd Br N Cl
4 3 1 2
direct
0.000 0.000 0.204
0.000 0.000 0.796
0.360 0.360 0.922
0.640 0.640 0.078
0.171 0.171 0.825
0.500 0.500 0.500
0.829 0.829 0.175
0.500 0.500 0.000
0.160 0.160 0.334
0.840 0.840 0.666
```


Entry 2:
The following is a simulated powder diffraction line list of Cu3SCl. It was derived from a DFT-relaxed cell (GGA-PBE, OQMD), using CuKα.
Peak positions follow from Bragg's law for the DFT cell and can differ from measured ones.

Peak list (6 most intense, 2θ = 15–90°, sorted by position)
d = 3.010 Å, I 100.0
d = 2.623 Å, I 58.7
d = 2.173 Å, I 49.8
d = 1.978 Å, I 71.2
d = 1.912 Å, I 53.4
d = 1.762 Å, I 52.0

Crystal structure
```
Cu3SCl
1.0
3.010 1.738 2.623
-3.010 1.738 2.623
0.000 -3.476 2.623
Cu S Cl
3 1 1
direct
0.035 0.723 0.242
0.242 0.035 0.723
0.723 0.242 0.035
0.213 0.213 0.213
0.671 0.671 0.671
```


Entry 3:
The following is a simulated powder diffraction line list of ErAuSO. It was derived from a DFT-relaxed cell (GGA-PBE, OQMD), using CuKα.
Peak positions follow from Bragg's law for the DFT cell and can differ from measured ones.

Peak list (6 most intense, 2θ = 15–90°, sorted by position)
d = 4.641 Å, I 67.5
d = 2.964 Å, I 95.2
d = 2.655 Å, I 90.0
d = 2.571 Å, I 82.5
d = 2.412 Å, I 42.4
d = 1.925 Å, I 100.0

Crystal structure
```
ErAuSO
1.0
9.286 0.000 0.000
0.000 5.351 0.000
0.000 0.000 5.542
Er Au S O
4 4 4 4
direct
0.119 0.006 0.250
0.119 0.494 0.750
0.881 0.506 0.250
0.881 0.994 0.750
0.440 0.250 0.000
0.440 0.250 0.500
0.560 0.750 0.000
0.560 0.750 0.500
0.280 0.524 0.250
0.280 0.976 0.750
0.720 0.024 0.250
0.720 0.476 0.750
0.003 0.750 0.000
0.003 0.750 0.500
0.997 0.250 0.000
0.997 0.250 0.500
```


Entry 4:
The following is a simulated powder diffraction line list of BaNdCdP2. It was derived from a DFT-relaxed cell (GGA-PBE, OQMD), using CuKα.
Peak positions follow from Bragg's law for the DFT cell and can differ from measured ones.

Peak list (6 most intense, 2θ = 15–90°, sorted by position)
d = 3.607 Å, I 68.5
d = 3.289 Å, I 60.6
d = 3.130 Å, I 70.5
d = 2.746 Å, I 100.0
d = 2.704 Å, I 60.0
d = 2.485 Å, I 87.7

Crystal structure
```
BaNdCdP2
1.0
2.156 -8.903 0.000
2.156 8.903 0.000
0.000 0.000 7.079
Ba Nd Cd P
2 2 2 4
direct
0.198 0.802 0.500
0.802 0.198 0.000
0.031 0.969 0.810
0.969 0.031 0.310
0.397 0.603 0.650
0.603 0.397 0.150
0.167 0.833 0.020
0.450 0.550 0.014
0.550 0.450 0.514
0.833 0.167 0.520
```